No. 1
Calculated X-ray powder pattern of PmY2HoTh for Cu Kα X-rays, from a cell relaxed with GGA-PBE.
Peak positions follow from Bragg's law for the DFT cell and can differ from measured ones.

Structural model:
```
data_PmY2HoTh
_cell_length_a 8.6221
_cell_length_b 6.4164
_cell_length_c 6.3007
_cell_angle_alpha 90.00
_cell_angle_beta 97.74
_cell_angle_gamma 90.00
_space_group_name_H-M_alt 'P 1 2/c 1'
_space_group_IT_number 13
loop_
_space_group_symop_operation_xyz
'x,y,z'
'-x,-y,-z'
'-x,y,-z+1/2'
'x,-y,z+1/2'
loop_
_atom_site_label
_atom_site_type_symbol
_atom_site_fract_x
_atom_site_fract_y
_atom_site_fract_z
Pm1 Pm 0.0000 0.0000 0.0000
Y1 Y 0.3140 0.3105 0.2089
Ho1 Ho 0.5000 0.1751 0.7500
Th1 Th 0.0000 0.4489 0.7500
```

Top 10 peaks for 2θ = 10–90°, in order of rising 2θ:
2θ = 10.35°, I = 43, hkl 1 0 0
2θ = 20.79°, I = 88, hkl 2 0 0
2θ = 27.44°, I = 49, hkl 2 1 -1
2θ = 29.75°, I = 100, hkl 1 2 0
2θ = 30.29°, I = 55, hkl 2 1 1
2θ = 31.88°, I = 45, hkl 0 1 2
2θ = 32.34°, I = 52, hkl 1 1 -2
2θ = 32.46°, I = 42, hkl 1 2 -1
2θ = 34.83°, I = 57, hkl 1 1 2
2θ = 42.40°, I = 58, hkl 3 1 -2

No. 2
Calculated X-ray powder pattern of Pm6HoTl6 for Cu Kα X-rays, from a cell relaxed with GGA-PBE.
Peak positions follow from Bragg's law for the DFT cell and can differ from measured ones.

Structural model:
```
data_Pm6HoTl6
_cell_length_a 6.5196
_cell_length_b 6.5196
_cell_length_c 10.8720
_cell_angle_alpha 90.00
_cell_angle_beta 90.00
_cell_angle_gamma 120.00
_space_group_name_H-M_alt 'P 6/m m m'
_space_group_IT_number 191
_space_group_name_Hall '-P 6 2'
loop_
_atom_site_label
_atom_site_type_symbol
_atom_site_fract_x
_atom_site_fract_y
_atom_site_fract_z
Pm1 Pm 0.0000 0.0000 0.1686
Pm2 Pm 0.3333 0.6667 0.0000
Pm3 Pm 0.3333 0.6667 0.5000
Ho1 Ho 0.0000 0.0000 0.5000
Tl1 Tl 0.0000 0.5000 0.2531
```

Top 10 peaks for 2θ = 10–90°, in order of rising 2θ:
2θ = 27.36°, I = 20, hkl 1 1 0
2θ = 31.70°, I = 58, hkl 2 0 0
2θ = 32.01°, I = 61, hkl 1 1 2
2θ = 32.95°, I = 31, hkl 0 0 4
2θ = 35.84°, I = 100, hkl 2 0 2
2θ = 36.70°, I = 19, hkl 1 0 4
2θ = 46.37°, I = 19, hkl 2 0 4
2θ = 56.46°, I = 31, hkl 2 2 0
2θ = 58.26°, I = 23, hkl 1 1 6
2θ = 66.94°, I = 25, hkl 2 2 4

No. 3
Calculated X-ray powder pattern of Pm5HoTl8 for Cu Kα X-rays, from a cell relaxed with GGA-PBE.
Peak positions follow from Bragg's law for the DFT cell and can differ from measured ones.

Structural model:
```
data_Pm5HoTl8
_cell_length_a 9.4693
_cell_length_b 9.4693
_cell_length_c 9.3402
_cell_angle_alpha 90.00
_cell_angle_beta 90.00
_cell_angle_gamma 90.00
_space_group_name_H-M_alt 'I -4'
_space_group_IT_number 82
loop_
_space_group_symop_operation_xyz
'x,y,z'
'y,-x,-z'
'-x,-y,z'
'-y,x,-z'
'x+1/2,y+1/2,z+1/2'
'y+1/2,-x+1/2,-z+1/2'
'-x+1/2,-y+1/2,z+1/2'
'-y+1/2,x+1/2,-z+1/2'
loop_
_atom_site_label
_atom_site_type_symbol
_atom_site_fract_x
_atom_site_fract_y
_atom_site_fract_z
Pm1 Pm 0.0000 0.0000 0.0000
Pm2 Pm 0.1202 0.2448 0.6267
Ho1 Ho 0.0000 0.5000 0.2500
Tl1 Tl 0.0775 0.3335 0.9625
Tl2 Tl 0.0855 0.1763 0.2896
```

Top 10 peaks for 2θ = 10–90°, in order of rising 2θ:
2θ = 23.06°, I = 13, hkl 2 1 1
2θ = 29.86°, I = 100, hkl 3 1 0
2θ = 30.22°, I = 46, hkl 1 0 3
2θ = 35.51°, I = 41, hkl 3 2 1
2θ = 35.62°, I = 44, hkl 3 1 2
2θ = 35.80°, I = 47, hkl 2 1 3
2θ = 47.13°, I = 27, hkl 2 4 2
2θ = 49.08°, I = 10, hkl 3 4 1
2θ = 60.29°, I = 21, hkl 1 6 1
2θ = 62.02°, I = 12, hkl 6 2 0

No. 4
Calculated X-ray powder pattern of Pm4HoTl for Cu Kα X-rays, from a cell relaxed with GGA-PBE.
Peak positions follow from Bragg's law for the DFT cell and can differ from measured ones.

Structural model:
```
data_Pm4HoTl
_cell_length_a 4.1416
_cell_length_b 4.1416
_cell_length_c 11.2404
_cell_angle_alpha 90.00
_cell_angle_beta 90.00
_cell_angle_gamma 90.00
_space_group_name_H-M_alt 'P 4/m m m'
_space_group_IT_number 123
_space_group_name_Hall '-P 4 2'
loop_
_atom_site_label
_atom_site_type_symbol
_atom_site_fract_x
_atom_site_fract_y
_atom_site_fract_z
Pm1 Pm 0.0000 0.0000 0.1477
Pm2 Pm 0.5000 0.5000 0.3346
Ho1 Ho 0.0000 0.0000 0.5000
Tl1 Tl 0.5000 0.5000 0.0000
```

Top 10 peaks for 2θ = 10–90°, in order of rising 2θ:
2θ = 30.53°, I = 60, hkl 1 1 0
2θ = 32.22°, I = 100, hkl 1 0 3
2θ = 43.71°, I = 23, hkl 2 0 0
2θ = 55.33°, I = 43, hkl 2 1 3
2θ = 58.48°, I = 16, hkl 1 1 6
2θ = 63.54°, I = 7, hkl 2 2 0
2θ = 67.41°, I = 11, hkl 2 0 6
2θ = 72.12°, I = 10, hkl 3 1 0
2θ = 73.04°, I = 10, hkl 3 0 3
2θ = 89.17°, I = 12, hkl 3 2 3

No. 5
Calculated X-ray powder pattern of Pm3HoTl for Cu Kα X-rays, from a cell relaxed with GGA-PBE.
Peak positions follow from Bragg's law for the DFT cell and can differ from measured ones.

Structural model:
```
data_Pm3HoTl
_cell_length_a 12.2607
_cell_length_b 5.5780
_cell_length_c 9.8998
_cell_angle_alpha 90.00
_cell_angle_beta 109.18
_cell_angle_gamma 90.00
_space_group_name_H-M_alt 'C 1 2/m 1'
_space_group_IT_number 12
loop_
_space_group_symop_operation_xyz
'x,y,z'
'-x,-y,-z'
'-x,y,-z'
'x,-y,z'
'x+1/2,y+1/2,z'
'-x+1/2,-y+1/2,-z'
'-x+1/2,y+1/2,-z'
'x+1/2,-y+1/2,z'
loop_
_atom_site_label
_atom_site_type_symbol
_atom_site_fract_x
_atom_site_fract_y
_atom_site_fract_z
Pm1 Pm 0.1366 0.0000 0.1018
Pm2 Pm 0.1539 0.5000 0.5318
Pm3 Pm 0.2145 0.0000 0.7825
Ho1 Ho 0.0471 0.5000 0.8527
Tl1 Tl 0.0554 0.0000 0.3770
```

Top 10 peaks for 2θ = 10–90°, in order of rising 2θ:
2θ = 29.43°, I = 10, hkl 3 1 -2
2θ = 30.51°, I = 23, hkl 4 0 -2
2θ = 31.55°, I = 47, hkl 1 1 -3
2θ = 32.12°, I = 100, hkl 0 2 0
2θ = 34.45°, I = 9, hkl 3 1 -3
2θ = 44.87°, I = 16, hkl 4 2 -2
2θ = 55.63°, I = 9, hkl 7 1 -1
2θ = 56.87°, I = 9, hkl 1 3 -3
2θ = 57.23°, I = 15, hkl 3 3 1
2θ = 57.56°, I = 9, hkl 2 2 4

No. 6
Calculated X-ray powder pattern of Pm7HoTl5 for Cu Kα X-rays, from a cell relaxed with GGA-PBE.
Peak positions follow from Bragg's law for the DFT cell and can differ from measured ones.

Structural model:
```
data_Pm7HoTl5
_cell_length_a 6.7603
_cell_length_b 10.8215
_cell_length_c 11.1244
_cell_angle_alpha 90.00
_cell_angle_beta 90.00
_cell_angle_gamma 90.00
_space_group_name_H-M_alt 'I m m 2'
_space_group_IT_number 44
loop_
_space_group_symop_operation_xyz
'x,y,z'
'-x,-y,z'
'-x,y,z'
'x,-y,z'
'x+1/2,y+1/2,z+1/2'
'-x+1/2,-y+1/2,z+1/2'
'-x+1/2,y+1/2,z+1/2'
'x+1/2,-y+1/2,z+1/2'
loop_
_atom_site_label
_atom_site_type_symbol
_atom_site_fract_x
_atom_site_fract_y
_atom_site_fract_z
Pm1 Pm 0.0000 0.0000 0.0000
Pm2 Pm 0.0000 0.0000 0.3335
Pm3 Pm 0.0000 0.3139 0.1086
Pm4 Pm 0.0000 0.3337 0.6239
Pm5 Pm 0.0000 0.5000 0.3503
Ho1 Ho 0.0000 0.0000 0.6714
Tl1 Tl 0.0000 0.5000 0.8779
Tl2 Tl 0.2430 0.2383 0.8645
```

Top 10 peaks for 2θ = 10–90°, in order of rising 2θ:
2θ = 15.93°, I = 23, hkl 0 0 2
2θ = 30.96°, I = 35, hkl 2 0 2
2θ = 31.20°, I = 49, hkl 2 2 0
2θ = 32.17°, I = 57, hkl 0 0 4
2θ = 32.41°, I = 49, hkl 1 3 2
2θ = 33.11°, I = 27, hkl 0 4 0
2θ = 35.22°, I = 100, hkl 2 2 2
2θ = 36.94°, I = 41, hkl 0 4 2
2θ = 57.96°, I = 23, hkl 2 6 0
2θ = 59.36°, I = 29, hkl 2 2 6